# 1
# UNb6O16
Theoretical PXRD pattern, Cu Kα X-rays. Input: DFT lattice parameters and positions (GGA-PBE).
No peak broadening, texture or thermal motion is included.

Structure:
Unit cell a=6.793 b=6.801 c=8.987 alpha=106.48 beta=101.69 gamma=103.13
Element x y z (fractional)
U (0.000, 0.000, 0.000)
Nb (0.091, 0.390, 0.853)
Nb (0.193, 0.565, 0.517)
Nb (0.351, 0.902, 0.327)
Nb (0.620, 0.129, 0.726)
Nb (0.697, 0.424, 0.432)
Nb (0.829, 0.572, 0.104)
O (0.005, 0.661, 0.945)
O (0.081, 0.684, 0.306)
O (0.154, 0.128, 0.845)
O (0.232, 0.528, 0.725)
O (0.268, 0.070, 0.201)
O (0.362, 0.893, 0.565)
O (0.439, 0.490, 0.472)
O (0.457, 0.728, 0.207)
O (0.608, 0.370, 0.881)
O (0.616, 0.157, 0.494)
O (0.667, 0.427, 0.218)
O (0.696, 0.946, 0.829)
O (0.817, 0.855, 0.133)
O (0.907, 0.662, 0.573)
O (0.970, 0.320, 0.395)
O (0.993, 0.340, 0.044)

The 10 most intense peaks (2θ from 10° to 80°), in order of falling intensity:
two_theta	I_rel
20.37	1000
14.99	760
33.04	588
19.95	495
20.65	484
27.44	483
29.40	450
30.64	411
13.97	383
28.98	362


# 2
# UNb6O16
Theoretical PXRD pattern, Cu Kα X-rays. Input: DFT lattice parameters and positions (GGA-PBE).
No peak broadening, texture or thermal motion is included.

Structure:
Unit cell a=11.537 b=11.537 c=7.438 alpha=96.14 beta=96.14 gamma=19.09
Element x y z (fractional)
U (0.000, 0.000, 0.000)
Nb (0.090, 0.055, 0.531)
Nb (0.119, 0.325, 0.324)
Nb (0.407, 0.328, 0.109)
Nb (0.672, 0.593, 0.891)
Nb (0.675, 0.881, 0.676)
Nb (0.945, 0.910, 0.469)
O (0.023, 0.005, 0.325)
O (0.130, 0.151, 0.420)
O (0.131, 0.084, 0.827)
O (0.176, 0.356, 0.595)
O (0.250, 0.340, 0.214)
O (0.439, 0.404, 0.386)
O (0.440, 0.449, 0.980)
O (0.532, 0.116, 0.892)
O (0.551, 0.560, 0.020)
O (0.596, 0.561, 0.614)
O (0.644, 0.824, 0.405)
O (0.660, 0.750, 0.786)
O (0.849, 0.870, 0.580)
O (0.884, 0.468, 0.108)
O (0.916, 0.869, 0.173)
O (0.995, 0.977, 0.675)

The 10 most intense peaks (2θ from 10° to 80°), in order of falling intensity:
two_theta	I_rel
26.14	1000
25.33	919
15.01	478
50.07	386
29.36	382
23.58	347
54.78	311
26.72	279
34.89	273
41.53	258